# Ho2AlB2Rh5
Computed XRD peak list, Cu Kα. Input: a DFT-relaxed cell (PBE, Alexandria).

Principal peaks in the range 10° ≤ 2θ ≤ 90°, in order of rising 2θ:
two_theta  d (Å)  I (rel.)  index
34.10  2.629  206  2 0 1
35.42  2.534  1000  2 1 1
39.03  2.308  945  4 1 0
39.15  2.301  258  2 2 1
40.21  2.243  313  3 3 0
41.47  2.177  774  3 1 1
42.49  2.127  253  4 2 0
44.77  2.024  306  3 2 1
58.51  1.578  192  0 0 2
65.91  1.417  209  6 0 1
69.96  1.345  350  5 5 0
72.59  1.302  300  4 1 2

Crystal structure
```
20
Lattice="9.5144 0.0000 0.0000 0.0000 9.5144 0.0000 0.0000 0.0000 3.1551" Properties=species:S:1:pos:R:3 pbc="T T T"
Ho 1.6710 3.0862 0.0000
Ho 3.0862 7.8434 0.0000
Ho 6.4282 1.6710 0.0000
Ho 7.8434 6.4282 0.0000
Al 0.0000 0.0000 0.0000
Al 4.7572 4.7572 0.0000
B 1.1687 5.9259 0.0000
B 3.5885 1.1687 0.0000
B 5.9259 8.3457 0.0000
B 8.3457 3.5885 0.0000
Rh 0.0000 4.7572 1.5775
Rh 0.6618 7.4345 1.5775
Rh 2.0799 0.6618 1.5775
Rh 2.6773 5.4190 1.5775
Rh 4.0954 2.6773 1.5775
Rh 4.7572 0.0000 1.5775
Rh 5.4190 6.8371 1.5775
Rh 6.8371 4.0954 1.5775
Rh 7.4345 8.8526 1.5775
Rh 8.8526 2.0799 1.5775
```